(1)
The following is a theoretical X-ray powder pattern of LiFeF4. It was derived from a crystal structure in the Materials Project, relaxed with GGA+U, using λ = 1.5418 Å (Cu Kα).
Neutral-atom scattering factors, no anomalous dispersion.

Unit cell a=5.226 b=5.226 c=12.095 alpha=90.00 beta=90.00 gamma=120.00
Fractional coordinates of all 18 atoms:
Li  0.000  0.428  0.167
Li  0.428  0.000  0.833
Li  0.572  0.572  0.500
Fe  0.000  0.428  0.667
Fe  0.428  0.000  0.333
Fe  0.572  0.572  0.000
F  0.071  0.672  0.787
F  0.072  0.678  0.292
F  0.322  0.394  0.625
F  0.328  0.399  0.121
F  0.394  0.322  0.375
F  0.399  0.328  0.879
F  0.601  0.929  0.454
F  0.606  0.928  0.959
F  0.672  0.071  0.213
F  0.678  0.072  0.708
F  0.928  0.606  0.041
F  0.929  0.601  0.546

Top 10 peaks for 10° ≤ 2θ ≤ 90°, by angle:
| 2θ (°) | d [Å] | I/Imax |
| --- | --- | --- |
| 19.6 | 4.526 | 20.7 |
| 21.0 | 4.239 | 69.2 |
| 22.0 | 4.032 | 23.0 |
| 24.6 | 3.624 | 100.0 |
| 34.3 | 2.613 | 25.0 |
| 35.7 | 2.514 | 30.0 |
| 46.0 | 1.975 | 13.8 |
| 50.4 | 1.812 | 19.7 |
| 55.9 | 1.646 | 14.3 |
| 62.4 | 1.489 | 15.1 |

(2)
The following is a theoretical X-ray powder pattern of MgV3NiO8. It was derived from a crystal structure in the Materials Project, relaxed with GGA+U, using λ = 1.5418 Å (Cu Kα).
Neutral-atom scattering factors, no anomalous dispersion.

Unit cell a=6.377 b=6.377 c=6.688 alpha=105.26 beta=105.26 gamma=36.19
Fractional coordinates of all 13 atoms:
Mg  0.000  0.000  0.000
V  0.457  0.457  0.670
V  0.574  0.574  0.321
V  0.772  0.772  0.722
Ni  0.873  0.873  0.310
O  0.043  0.043  0.302
O  0.304  0.304  0.695
O  0.413  0.413  0.368
O  0.527  0.527  0.010
O  0.606  0.606  0.654
O  0.725  0.725  0.394
O  0.820  0.820  0.991
O  0.936  0.936  0.685

Top 10 peaks for 10° ≤ 2θ ≤ 90°, by angle:
| 2θ (°) | d [Å] | I/Imax |
| --- | --- | --- |
| 13.8 | 6.427 | 54.5 |
| 15.2 | 5.825 | 86.5 |
| 23.7 | 3.750 | 100.0 |
| 27.8 | 3.213 | 40.5 |
| 28.6 | 3.120 | 33.0 |
| 30.0 | 2.981 | 48.5 |
| 42.2 | 2.142 | 58.4 |
| 44.9 | 2.020 | 46.9 |
| 45.8 | 1.981 | 59.5 |
| 64.0 | 1.454 | 27.5 |

(3)
The following is a theoretical X-ray powder pattern of La3SmV3CrO12. It was derived from a crystal structure in the Materials Project, relaxed with GGA+U, using λ = 1.5418 Å (Cu Kα).
Neutral-atom scattering factors, no anomalous dispersion.

Unit cell a=7.796 b=7.949 c=7.914 alpha=90.00 beta=90.00 gamma=90.00
Fractional coordinates of all 40 atoms:
La  0.000  0.000  0.000
La  0.000  0.000  0.494
La  0.000  0.500  0.002
La  0.500  0.000  0.000
La  0.500  0.000  0.494
La  0.500  0.500  0.002
Sm  0.000  0.500  0.496
Sm  0.500  0.500  0.496
V  0.250  0.250  0.748
V  0.250  0.251  0.249
V  0.250  0.749  0.747
V  0.750  0.251  0.747
V  0.750  0.749  0.249
V  0.750  0.750  0.748
Cr  0.250  0.749  0.249
Cr  0.750  0.251  0.249
O  0.000  0.252  0.250
O  0.000  0.252  0.747
O  0.000  0.748  0.250
O  0.000  0.748  0.747
O  0.250  0.250  0.999
O  0.250  0.253  0.498
O  0.250  0.501  0.745
O  0.250  0.503  0.252
O  0.250  0.746  0.495
O  0.250  0.750  0.001
O  0.250  0.997  0.248
O  0.250  0.998  0.748
O  0.500  0.252  0.250
O  0.500  0.252  0.747
O  0.500  0.748  0.250
O  0.500  0.748  0.747
O  0.750  0.002  0.748
O  0.750  0.003  0.248
O  0.750  0.250  0.001
O  0.750  0.254  0.495
O  0.750  0.497  0.252
O  0.750  0.499  0.745
O  0.750  0.747  0.498
O  0.750  0.750  0.999

Top 10 peaks for 10° ≤ 2θ ≤ 90°, by angle:
| 2θ (°) | d [Å] | I/Imax |
| --- | --- | --- |
| 31.9 | 2.804 | 51.2 |
| 32.2 | 2.780 | 100.0 |
| 39.6 | 2.276 | 35.3 |
| 45.6 | 1.987 | 17.2 |
| 45.9 | 1.979 | 16.9 |
| 46.6 | 1.949 | 16.1 |
| 57.0 | 1.616 | 19.5 |
| 57.1 | 1.613 | 19.3 |
| 57.6 | 1.600 | 18.9 |
| 66.7 | 1.402 | 10.0 |

(4)
The following is a theoretical X-ray powder pattern of MnNb2O6. It was derived from a crystal structure in the Materials Project, relaxed with GGA+U, using λ = 1.5418 Å (Cu Kα).
Neutral-atom scattering factors, no anomalous dispersion.

Unit cell a=14.651 b=5.897 c=5.148 alpha=90.00 beta=90.00 gamma=90.00
Fractional coordinates of all 36 atoms:
Mn  0.000  0.176  0.250
Mn  0.000  0.824  0.750
Mn  0.500  0.324  0.750
Mn  0.500  0.676  0.250
Nb  0.162  0.319  0.741
Nb  0.162  0.681  0.241
Nb  0.338  0.181  0.241
Nb  0.338  0.819  0.741
Nb  0.662  0.181  0.259
Nb  0.662  0.819  0.759
Nb  0.838  0.319  0.759
Nb  0.838  0.681  0.259
O  0.081  0.118  0.596
O  0.081  0.882  0.096
O  0.099  0.400  0.061
O  0.099  0.600  0.561
O  0.245  0.371  0.412
O  0.245  0.629  0.912
O  0.255  0.129  0.912
O  0.255  0.871  0.412
O  0.401  0.100  0.561
O  0.401  0.900  0.061
O  0.419  0.382  0.096
O  0.419  0.618  0.596
O  0.581  0.382  0.404
O  0.581  0.618  0.904
O  0.599  0.100  0.939
O  0.599  0.900  0.439
O  0.745  0.129  0.588
O  0.745  0.871  0.088
O  0.755  0.371  0.088
O  0.755  0.629  0.588
O  0.901  0.400  0.439
O  0.901  0.600  0.939
O  0.919  0.118  0.904
O  0.919  0.882  0.404

Top 10 peaks for 10° ≤ 2θ ≤ 90°, by angle:
| 2θ (°) | d [Å] | I/Imax |
| --- | --- | --- |
| 23.7 | 3.758 | 32.3 |
| 29.4 | 3.037 | 100.0 |
| 34.9 | 2.574 | 12.4 |
| 35.1 | 2.559 | 12.9 |
| 50.0 | 1.823 | 13.6 |
| 51.6 | 1.772 | 16.6 |
| 51.8 | 1.766 | 21.1 |
| 59.2 | 1.561 | 13.9 |
| 61.8 | 1.501 | 12.1 |
| 62.4 | 1.488 | 12.4 |

(5)
The following is a theoretical X-ray powder pattern of K2RbLaV2O8. It was derived from a crystal structure in the Materials Project, relaxed with GGA+U, using λ = 1.5418 Å (Cu Kα).
Neutral-atom scattering factors, no anomalous dispersion.

Unit cell a=6.191 b=6.191 c=7.971 alpha=90.00 beta=90.00 gamma=120.00
Fractional coordinates of all 14 atoms:
K  0.333  0.667  0.208
K  0.667  0.333  0.792
Rb  0.000  0.000  0.500
La  0.000  0.000  0.000
V  0.333  0.667  0.744
V  0.667  0.333  0.256
O  0.179  0.358  0.821
O  0.179  0.821  0.821
O  0.333  0.667  0.532
O  0.358  0.179  0.179
O  0.642  0.821  0.821
O  0.667  0.333  0.468
O  0.821  0.179  0.179
O  0.821  0.642  0.179

Top 10 peaks for 10° ≤ 2θ ≤ 90°, by angle:
| 2θ (°) | d [Å] | I/Imax |
| --- | --- | --- |
| 16.5 | 5.361 | 29.1 |
| 20.0 | 4.449 | 19.9 |
| 27.9 | 3.198 | 100.0 |
| 28.8 | 3.095 | 91.8 |
| 40.6 | 2.224 | 50.3 |
| 50.5 | 1.806 | 34.2 |
| 51.1 | 1.787 | 17.0 |
| 54.8 | 1.675 | 25.5 |
| 59.8 | 1.548 | 16.5 |
| 67.2 | 1.393 | 15.9 |

(6)
The following is a theoretical X-ray powder pattern of CoTePb2O6. It was derived from a crystal structure in the Materials Project, relaxed with GGA+U, using λ = 1.5418 Å (Cu Kα).
Neutral-atom scattering factors, no anomalous dispersion.

Unit cell a=8.113 b=8.117 c=9.828 alpha=113.38 beta=113.37 gamma=90.74
Fractional coordinates of all 40 atoms:
Co  0.000  0.000  0.000
Co  0.250  0.750  0.500
Co  0.500  0.500  0.000
Co  0.750  0.250  0.500
Te  0.000  0.500  0.000
Te  0.250  0.250  0.500
Te  0.500  0.000  0.000
Te  0.750  0.750  0.500
Pb  0.123  0.623  0.753
Pb  0.127  0.126  0.748
Pb  0.374  0.375  0.253
Pb  0.376  0.877  0.247
Pb  0.624  0.124  0.752
Pb  0.626  0.626  0.747
Pb  0.874  0.873  0.252
Pb  0.876  0.376  0.248
O  0.001  0.792  0.523
O  0.037  0.276  0.030
O  0.090  0.643  0.239
O  0.160  0.107  0.261
O  0.212  0.474  0.470
O  0.250  0.959  0.977
O  0.251  0.541  0.023
O  0.288  0.026  0.530
O  0.340  0.393  0.739
O  0.410  0.857  0.761
O  0.462  0.224  0.970
O  0.499  0.709  0.477
O  0.500  0.291  0.523
O  0.538  0.776  0.030
O  0.590  0.142  0.239
O  0.660  0.607  0.261
O  0.712  0.974  0.470
O  0.749  0.459  0.977
O  0.750  0.041  0.023
O  0.788  0.526  0.530
O  0.840  0.893  0.739
O  0.910  0.358  0.761
O  0.963  0.724  0.970
O  0.999  0.209  0.477

Top 10 peaks for 10° ≤ 2θ ≤ 90°, by angle:
| 2θ (°) | d [Å] | I/Imax |
| --- | --- | --- |
| 21.9 | 4.056 | 25.2 |
| 31.0 | 2.887 | 100.0 |
| 31.4 | 2.850 | 98.6 |
| 38.3 | 2.352 | 17.3 |
| 44.7 | 2.028 | 53.4 |
| 55.1 | 1.667 | 22.4 |
| 55.4 | 1.660 | 41.8 |
| 56.1 | 1.638 | 19.4 |
| 73.5 | 1.288 | 17.7 |
| 74.2 | 1.278 | 17.8 |